Diffraction record for Na10B13C7. The powder diffraction line list is simulated, not measured: it uses a crystal structure in Alexandria, relaxed with GGA-PBE and Cu Kα (weighted mean of Kα1 and Kα2).
Lines closer than 0.1° are merged.

```
Na10B13C7
1.0
5.0132 0.0000 0.0000
0.0000 8.5188 0.0000
-2.5057 0.0000 7.1721
Na B C
10 13 7
Cartesian
0.0000 2.1061 0.0000
0.0000 6.4127 0.0000
-0.0047 2.1062 2.8671
-0.0047 6.4126 2.8671
-0.0035 2.1401 5.7462
-0.0035 6.3787 5.7462
2.4966 2.1038 1.4442
2.4966 6.4150 1.4442
2.5096 2.1249 4.3022
2.5096 6.3939 4.3022
-1.6738 0.0000 5.7420
-0.8967 4.2594 4.2952
0.9213 0.0000 1.4358
1.6079 4.2594 0.0187
0.8105 4.2594 4.2974
0.8329 0.0000 4.3040
1.7209 4.2594 2.8075
0.8204 0.0000 7.0911
3.3159 4.2594 0.0135
1.7759 4.2594 5.7453
3.3265 0.0000 2.9515
4.1695 0.0000 1.4359
4.2275 4.2594 1.5047
-1.6866 4.2594 5.7418
-0.8606 0.0000 4.3465
0.8261 4.2594 1.4381
-0.8380 0.0000 7.1563
1.6684 0.0000 2.8888
1.6457 0.0000 5.6987
3.3337 4.2594 2.8720
```

Top 12 peaks for 2θ = 5–70°, in order of falling intensity:
| h k l | two_theta | I/Imax |
| --- | --- | --- |
| 1 2 2 | 42.0 | 100 |
| 2 2 -1 | 41.8 | 50 |
| 0 4 0 | 42.4 | 38 |
| 1 0 -3 | 36.1 | 18 |
| 3 0 1 | 64.5 | 17 |
| 1 4 -3 | 56.9 | 10 |
| 2 0 -1 | 35.8 | 9 |
| 0 0 5 | 65.0 | 9 |
| 2 4 -1 | 56.7 | 5 |
| 3 2 1 | 68.6 | 2 |
| 0 2 0 | 20.9 | 1 |
| 0 2 5 | 69.1 | 1 |